# 1
K2Cr2AsHO10: theoretical X-ray powder pattern (λ = 1.5418 Å (Cu Kα)), based on a PBE+U-relaxed structure.
Kinematic intensities with the Lorentz-polarization factor, no thermal factor.

Cell and atoms:
a = 7.8441 Å, b = 7.8441 Å, c = 14.7455 Å
α = 90.00°, β = 90.00°, γ = 120.00°
Space group P3_2 (No. 145)
Unique sites:
K 0.0207 0.5667 0.0000 [3 per cell]
K 0.3965 0.3908 0.1723 [3 per cell]
Cr 0.0026 0.5825 0.7505 [3 per cell]
Cr 0.4287 0.4235 0.9271 [3 per cell]
As 0.1245 0.0205 0.8222 [3 per cell]
H 0.0023 0.0367 0.2973 [3 per cell]
O 0.0090 0.9138 0.0558 [3 per cell]
O 0.0169 0.9534 0.5630 [3 per cell]
O 0.1230 0.5321 0.1850 [3 per cell]
O 0.1396 0.7479 0.3285 [3 per cell]
O 0.1432 0.5573 0.6767 [3 per cell]
O 0.1502 0.8106 0.8181 [3 per cell]
O 0.3551 0.1878 0.8681 [3 per cell]
O 0.4014 0.2325 0.3636 [3 per cell]
O 0.4903 0.0908 0.1551 [3 per cell]
O 0.5185 0.1441 0.6525 [3 per cell]

The 10 most intense peaks (10 to 80 degrees two-theta), most intense first:
Position (°2θ)  intensity  h k l
26.24  100  2 0 0
27.53  97  1 0 4
42.93  59  1 2 4
17.75  53  0 1 2
22.67  49  1 1 0
22.33  47  1 0 3
25.73  44  1 1 2
35.95  29  0 2 4
33.36  28  2 -1 4
26.94  26  0 2 1


# 2
PrFePO: theoretical X-ray powder pattern (λ = 1.5418 Å (Cu Kα)), based on a PBE+U-relaxed structure.
Kinematic intensities with the Lorentz-polarization factor, no thermal factor.

Cell and atoms:
a = 3.9495 Å, b = 3.9495 Å, c = 8.8543 Å
α = 90.00°, β = 90.00°, γ = 90.00°
Space group P4/nmm (No. 129, origin choice 2)
Unique sites:
Pr 0.2500 0.2500 0.1416 [2 per cell]
Fe 0.2500 0.7500 0.5000 [2 per cell]
P 0.2500 0.2500 0.6531 [2 per cell]
O 0.2500 0.7500 0.0000 [2 per cell]

The 10 most intense peaks (10 to 80 degrees two-theta), most intense first:
Position (°2θ)  intensity  h k l
30.32  100  1 0 2
52.79  41  1 1 4
56.05  40  2 1 2
24.68  36  1 0 1
33.65  30  1 1 1
45.96  29  2 0 0
38.09  27  1 1 2
32.05  12  1 1 0
75.30  10  3 0 2
67.02  9  2 2 0


# 3
VCrO3: theoretical X-ray powder pattern (λ = 1.5418 Å (Cu Kα)), based on a PBE+U-relaxed structure.
Kinematic intensities with the Lorentz-polarization factor, no thermal factor.

Cell and atoms:
a = 5.1063 Å, b = 5.4969 Å, c = 8.8471 Å
α = 105.54°, β = 90.01°, γ = 117.66°
Space group P1 (No. 1)
Unique sites:
V 0.0000 0.0000 0.0000 [1 per cell]
V 0.0516 0.1060 0.3482 [1 per cell]
V 0.5543 0.1061 0.8520 [1 per cell]
V 0.8025 0.6041 0.5990 [1 per cell]
Cr 0.2538 0.5049 0.7490 [1 per cell]
Cr 0.2989 0.5987 0.0996 [1 per cell]
Cr 0.5017 0.0040 0.4996 [1 per cell]
Cr 0.7523 0.5078 0.2517 [1 per cell]
O 0.0024 0.3053 0.8975 [1 per cell]
O 0.0521 0.8006 0.1476 [1 per cell]
O 0.0549 0.8054 0.4513 [1 per cell]
O 0.0992 0.8018 0.7999 [1 per cell]
O 0.4557 0.3062 0.0524 [1 per cell]
O 0.4990 0.3015 0.7012 [1 per cell]
O 0.5015 0.3034 0.3981 [1 per cell]
O 0.5515 0.7993 0.9513 [1 per cell]
O 0.5531 0.8035 0.6480 [1 per cell]
O 0.5965 0.8019 0.2995 [1 per cell]
O 0.9552 0.3018 0.5493 [1 per cell]
O 0.9990 0.3070 0.2014 [1 per cell]

The 10 most intense peaks (10 to 80 degrees two-theta), most intense first:
Position (°2θ)  intensity  h k l
32.74  100  1 1 -1
35.14  85  2 -1 0
53.35  80  1 1 3
23.84  56  -1 1 1
48.79  41  0 2 -4
63.06  41  3 -2 3
61.54  34  2 1 -4
40.31  29  1 0 3
70.98  16  0 3 2
74.29  9  4 -2 0


# 4
Li7Mn5O12: theoretical X-ray powder pattern (λ = 1.5418 Å (Cu Kα)), based on a PBE+U-relaxed structure.
Kinematic intensities with the Lorentz-polarization factor, no thermal factor.

Cell and atoms:
a = 6.0338 Å, b = 8.7061 Å, c = 9.8340 Å
α = 110.98°, β = 94.28°, γ = 109.83°
Space group P-1 (No. 2)
Unique sites:
Li 0.0000 0.0000 0.0000 [1 per cell]
Li 0.0000 0.5000 0.5000 [1 per cell]
Li 0.0669 0.1761 0.3428 [2 per cell]
Li 0.0750 0.6682 0.8285 [2 per cell]
Li 0.2395 0.0004 0.5094 [2 per cell]
Li 0.2549 0.4969 0.9979 [2 per cell]
Li 0.4003 0.8237 0.6656 [2 per cell]
Li 0.4060 0.3222 0.1696 [2 per cell]
Mn 0.1662 0.3334 0.6632 [2 per cell]
Mn 0.1704 0.8326 0.1628 [2 per cell]
Mn 0.3237 0.1670 0.8378 [2 per cell]
Mn 0.3262 0.6633 0.3368 [2 per cell]
Mn 0.5000 0.0000 0.0000 [1 per cell]
Mn 0.5000 0.5000 0.5000 [1 per cell]
O 0.0598 0.0932 0.6749 [2 per cell]
O 0.0635 0.5929 0.1709 [2 per cell]
O 0.1116 0.7505 0.4899 [2 per cell]
O 0.1300 0.2377 0.9768 [2 per cell]
O 0.2273 0.4245 0.3375 [2 per cell]
O 0.2272 0.9304 0.8405 [2 per cell]
O 0.3096 0.0580 0.1478 [2 per cell]
O 0.3097 0.5621 0.6491 [2 per cell]
O 0.4028 0.2630 0.5001 [2 per cell]
O 0.4044 0.7635 0.9995 [2 per cell]
O 0.4334 0.3977 0.8297 [2 per cell]
O 0.4676 0.8930 0.3084 [2 per cell]

The 10 most intense peaks (10 to 80 degrees two-theta), most intense first:
Position (°2θ)  intensity  h k l
18.31  100  0 1 1
40.91  34  -2 1 3
44.24  28  0 4 -2
44.42  28  2 -1 3
36.32  23  0 3 -3
61.82  16  2 3 -5
34.09  16  2 0 -2
64.04  10  2 3 1
61.68  8  4 -2 0
62.24  8  0 0 6


# 5
Sr3Fe2ClO5: theoretical X-ray powder pattern (λ = 1.5418 Å (Cu Kα)), based on a PBE+U-relaxed structure.
Kinematic intensities with the Lorentz-polarization factor, no thermal factor.

Cell and atoms:
a = 3.9204 Å, b = 3.9204 Å, c = 11.5940 Å
α = 90.00°, β = 90.00°, γ = 90.00°
Space group P4/mmm (No. 123)
Unique sites:
Sr 0.0000 0.0000 0.0000 [1 per cell]
Sr 0.0000 0.0000 0.3212 [2 per cell]
Fe 0.5000 0.5000 0.1727 [2 per cell]
Cl 0.5000 0.5000 0.5000 [1 per cell]
O 0.0000 0.5000 0.2005 [4 per cell]
O 0.5000 0.5000 0.0000 [1 per cell]

The 10 most intense peaks (10 to 80 degrees two-theta), most intense first:
Position (°2θ)  intensity  h k l
32.53  100  1 0 3
32.29  44  1 1 0
57.74  37  2 1 3
46.32  28  2 0 0
58.20  18  1 1 6
68.14  13  2 0 6
40.03  11  1 1 3
47.03  11  0 0 6
15.28  9  0 0 2
67.59  8  2 2 0


# 6
CrHSe3O8: theoretical X-ray powder pattern (λ = 1.5418 Å (Cu Kα)), based on a PBE+U-relaxed structure.
Kinematic intensities with the Lorentz-polarization factor, no thermal factor.

Cell and atoms:
a = 7.7269 Å, b = 14.0209 Å, c = 10.7153 Å
α = 90.00°, β = 133.18°, γ = 90.00°
Space group P2_1/c (No. 14)
Unique sites:
Cr 0.1138 0.1659 0.4511 [4 per cell]
H 0.4095 0.1996 0.0018 [4 per cell]
Se 0.0480 0.6061 0.4395 [4 per cell]
Se 0.2480 0.0086 0.7108 [4 per cell]
Se 0.2917 0.6976 0.9256 [4 per cell]
O 0.0688 0.7147 0.7143 [4 per cell]
O 0.0897 0.1017 0.2687 [4 per cell]
O 0.1717 0.2284 0.6105 [4 per cell]
O 0.1922 0.6096 0.1494 [4 per cell]
O 0.2277 0.5121 0.5277 [4 per cell]
O 0.2823 0.0466 0.5760 [4 per cell]
O 0.3113 0.7026 0.5296 [4 per cell]
O 0.4369 0.2320 0.5322 [4 per cell]

The 10 most intense peaks (10 to 80 degrees two-theta), most intense first:
Position (°2θ)  intensity  h k l
20.87  100  1 2 -2
22.22  98  1 3 -1
15.73  92  1 0 0
30.03  82  2 3 -2
17.09  80  1 2 -1
26.08  77  0 2 2
28.30  68  2 2 -1
29.25  64  2 2 -3
33.98  60  0 5 1
29.07  58  1 2 -3


# 7
MgV4O5F7: theoretical X-ray powder pattern (λ = 1.5418 Å (Cu Kα)), based on a PBE+U-relaxed structure.
Kinematic intensities with the Lorentz-polarization factor, no thermal factor.

Cell and atoms:
a = 5.3314 Å, b = 5.6330 Å, c = 7.1739 Å
α = 93.71°, β = 90.26°, γ = 91.19°
Space group P1 (No. 1)
Unique sites:
Mg 0.0000 0.0000 0.0000 [1 per cell]
V 0.0267 0.4038 0.3014 [1 per cell]
V 0.5034 0.8770 0.7826 [1 per cell]
V 0.5317 0.8890 0.2857 [1 per cell]
V 0.9574 0.4190 0.7846 [1 per cell]
O 0.1028 0.3977 0.5384 [1 per cell]
O 0.4461 0.8809 0.5460 [1 per cell]
O 0.6384 0.8961 0.0281 [1 per cell]
O 0.7015 0.5768 0.7457 [1 per cell]
O 0.9496 0.3605 0.0441 [1 per cell]
F 0.1782 0.7116 0.8650 [1 per cell]
F 0.2044 0.0698 0.2326 [1 per cell]
F 0.2894 0.1529 0.8494 [1 per cell]
F 0.3339 0.5865 0.2365 [1 per cell]
F 0.7179 0.1987 0.3406 [1 per cell]
F 0.8259 0.0823 0.7431 [1 per cell]
F 0.8497 0.7036 0.3274 [1 per cell]

The 10 most intense peaks (10 to 80 degrees two-theta), most intense first:
Position (°2θ)  intensity  h k l
22.75  100  1 -1 0
24.88  92  0 0 2
23.24  92  1 1 0
55.60  31  1 -1 4
39.37  26  2 1 -1
47.51  24  2 2 0
33.44  24  1 1 -2
46.47  22  2 -2 0
31.85  22  0 2 0
33.24  22  1 -1 2


# 8
Li3FePCO7: theoretical X-ray powder pattern (λ = 1.5418 Å (Cu Kα)), based on a PBE+U-relaxed structure.
Kinematic intensities with the Lorentz-polarization factor, no thermal factor.

Cell and atoms:
a = 4.8682 Å, b = 6.4659 Å, c = 17.2743 Å
α = 90.00°, β = 93.98°, γ = 90.00°
Space group P2_1 (No. 4)
Unique sites:
Li 0.2206 0.9997 0.4322 [2 per cell]
Li 0.2206 0.0000 0.9323 [2 per cell]
Li 0.2259 0.4694 0.3059 [2 per cell]
Li 0.2260 0.4697 0.8060 [2 per cell]
Li 0.2420 0.7604 0.1046 [2 per cell]
Li 0.2421 0.7599 0.6047 [2 per cell]
Fe 0.2512 0.2484 0.6220 [2 per cell]
Fe 0.2513 0.2493 0.1221 [2 per cell]
P 0.2785 0.4913 0.4548 [2 per cell]
P 0.2784 0.4916 0.9548 [2 per cell]
C 0.2855 0.9718 0.7725 [2 per cell]
C 0.2855 0.9715 0.2725 [2 per cell]
O 0.0284 0.9596 0.7834 [2 per cell]
O 0.0285 0.9595 0.2834 [2 per cell]
O 0.1580 0.6808 0.4077 [2 per cell]
O 0.1579 0.6811 0.9077 [2 per cell]
O 0.1764 0.3006 0.4069 [2 per cell]
O 0.1764 0.3008 0.9069 [2 per cell]
O 0.1892 0.4950 0.0389 [2 per cell]
O 0.1892 0.4947 0.5389 [2 per cell]
O 0.3671 0.9953 0.2015 [2 per cell]
O 0.3673 0.9949 0.7014 [2 per cell]
O 0.4003 0.0055 0.5429 [2 per cell]
O 0.4004 0.0059 0.0429 [2 per cell]
O 0.4715 0.9652 0.3302 [2 per cell]
O 0.4713 0.9657 0.8303 [2 per cell]

The 10 most intense peaks (10 to 80 degrees two-theta), most intense first:
Position (°2θ)  intensity  h k l
17.15  100  0 1 2
34.69  76  0 2 4
22.90  47  1 1 0
25.68  40  1 1 2
24.62  29  1 1 -2
24.83  26  0 1 4
10.27  25  0 0 2
30.12  24  1 1 -4
50.94  23  0 2 8
35.18  22  1 0 -6